# CuBiAsSe2
Simulated X-ray powder pattern, λ = 1.5418 Å (Cu Kα). Input: DFT lattice parameters and positions (PBE).

Main lines, sorted by position (10 to 80 degrees two-theta):
index	two_theta	intensity
1 1 0	25.81	23
1 0 1	26.27	46
1 1 1	32.13	100
2 0 0	36.83	65
0 0 2	38.15	30
2 1 1	45.80	22
1 1 2	46.64	10
2 2 0	53.07	23
2 0 2	54.07	43
3 1 1	63.41	29
1 1 3	65.20	13
2 2 2	67.22	22

Crystal structure
```
data_CuBiAsSe2
_cell_length_a 4.8811
_cell_length_b 4.8811
_cell_length_c 4.7173
_cell_angle_alpha 90.00
_cell_angle_beta 90.00
_cell_angle_gamma 90.00
_space_group_name_H-M_alt 'P 4/m m m'
_space_group_IT_number 123
_space_group_name_Hall '-P 4 2'
loop_
_atom_site_label
_atom_site_fract_x
_atom_site_fract_y
_atom_site_fract_z
Cu1 0.0000 0.0000 0.0000
Bi1 0.5000 0.5000 0.5000
As1 0.0000 0.0000 0.5000
Se1 0.0000 0.5000 0.0000
```